Rb3EuF6: computed powder diffraction line list (Cu Kα X-rays), based on a cell relaxed with PBE.
Intensities are scaled so that the largest is 1000.

Crystal structure
a b c (Å): 9.8147 9.8147 9.8147
angles (deg): 90.00 90.00 90.00
Space group Fm-3m (No. 225)
One atom of each set of equivalent atoms:
Rb1 0.0000 0.0000 0.0000 x4
Rb2 0.2500 0.2500 0.2500 x8
Eu1 0.0000 0.0000 0.5000 x4
F1 0.0000 0.0000 0.2719 x24

Top 10 peaks for 2θ = 5–70°, sorted by position:
15.64 deg, intensity 100, hkl 1 1 1
18.08 deg, intensity 96, hkl 2 0 0
25.67 deg, intensity 1000, hkl 2 2 0
30.20 deg, intensity 34, hkl 3 1 1
36.62 deg, intensity 385, hkl 4 0 0
41.13 deg, intensity 41, hkl 4 2 0
45.26 deg, intensity 422, hkl 4 2 2
52.76 deg, intensity 247, hkl 4 4 0
59.57 deg, intensity 204, hkl 6 2 0
65.94 deg, intensity 80, hkl 4 4 4

---

RbEu3F10: computed powder diffraction line list (Cu Kα X-rays), based on a cell relaxed with PBE.
Intensities are scaled so that the largest is 1000.

Crystal structure
a b c (Å): 12.0225 12.0225 12.0225
angles (deg): 90.00 90.00 90.00
Space group Fm-3m (No. 225)
One atom of each set of equivalent atoms:
Rb1 0.2500 0.2500 0.2500 x8
Eu1 0.0000 0.0000 0.2392 x24
F1 0.0000 0.1653 0.3347 x48
F2 0.1112 0.1112 0.1112 x32

Top 10 peaks for 2θ = 5–70°, sorted by position:
14.74 deg, intensity 69, hkl 2 0 0
20.90 deg, intensity 77, hkl 2 2 0
25.67 deg, intensity 1000, hkl 2 2 2
29.72 deg, intensity 421, hkl 4 0 0
42.54 deg, intensity 489, hkl 4 4 0
50.35 deg, intensity 566, hkl 6 2 2
52.75 deg, intensity 132, hkl 4 4 4
61.73 deg, intensity 82, hkl 8 0 0
67.98 deg, intensity 197, hkl 6 6 2
69.99 deg, intensity 139, hkl 8 4 0

---

Eu2FeH6: computed powder diffraction line list (Cu Kα X-rays), based on a cell relaxed with PBE.
Intensities are scaled so that the largest is 1000.

Crystal structure
a b c (Å): 7.2805 7.2805 7.2805
angles (deg): 90.00 90.00 90.00
Space group Fm-3m (No. 225)
One atom of each set of equivalent atoms:
Eu1 0.2500 0.2500 0.2500 x8
Fe1 0.0000 0.0000 0.0000 x4
H1 0.0000 0.0000 0.2221 x24

Top 10 peaks for 2θ = 5–70°, sorted by position:
21.14 deg, intensity 71, hkl 1 1 1
24.45 deg, intensity 544, hkl 2 0 0
34.85 deg, intensity 1000, hkl 2 2 0
41.12 deg, intensity 33, hkl 3 1 1
43.04 deg, intensity 182, hkl 2 2 2
50.12 deg, intensity 183, hkl 4 0 0
54.98 deg, intensity 12, hkl 3 3 1
56.53 deg, intensity 232, hkl 4 2 0
62.50 deg, intensity 360, hkl 4 2 2
66.76 deg, intensity 9, hkl 5 1 1